# Sr7Mn7O20
Theoretical powder XRD pattern, λ = 1.5418 Å (Cu Kα). Input: a DFT-relaxed cell (GGA+U, the Materials Project).
Peak positions follow from Bragg's law for the DFT cell and can differ from measured ones.

Principal peaks in the range 10° ≤ 2θ ≤ 90°, by angle:
2.764 Å, intensity 1000
2.740 Å, intensity 446
2.250 Å, intensity 192
1.971 Å, intensity 181
1.942 Å, intensity 182
1.933 Å, intensity 169
1.600 Å, intensity 184
1.588 Å, intensity 184
1.585 Å, intensity 174
1.383 Å, intensity 102
1.380 Å, intensity 95
1.370 Å, intensity 97

Cell and atoms:
```
data_Sr7Mn7O20
_chemical_formula_sum 'Sr7 Mn7 O20'
_symmetry_space_group_name_H-M 'P 1 2/m 1'
_symmetry_Int_Tables_number 10
_cell_length_a 8.681
_cell_length_b 3.883
_cell_length_c 12.444
_cell_angle_alpha 90.00
_cell_angle_beta 98.91
_cell_angle_gamma 90.00
loop_
_symmetry_equiv_pos_as_xyz
'x,y,z'
'-x,-y,-z'
'-x,y,-z'
'x,-y,z'
loop_
_atom_site_label
_atom_site_type_symbol
_atom_site_fract_x
_atom_site_fract_y
_atom_site_fract_z
Sr1 Sr 0.000 0.000 0.000
Sr2 Sr 0.140 0.000 0.717
Sr3 Sr 0.266 0.000 0.423
Sr4 Sr 0.425 0.000 0.138
Mn1 Mn 0.000 0.500 0.500
Mn2 Mn 0.143 0.500 0.215
Mn3 Mn 0.286 0.500 0.929
Mn4 Mn 0.427 0.500 0.648
O1 O 0.000 0.000 0.500
O2 O 0.050 0.500 0.353
O3 O 0.068 0.500 0.865
O4 O 0.139 0.000 0.218
O5 O 0.226 0.500 0.082
O6 O 0.227 0.500 0.556
O7 O 0.286 0.000 0.930
O8 O 0.352 0.500 0.305
O9 O 0.357 0.500 0.786
O10 O 0.440 0.000 0.621
O11 O 0.500 0.500 0.000
```

***

# Sr2MnO4
Theoretical powder XRD pattern, λ = 1.5418 Å (Cu Kα). Input: a DFT-relaxed cell (GGA+U, the Materials Project).
Peak positions follow from Bragg's law for the DFT cell and can differ from measured ones.

Principal peaks in the range 10° ≤ 2θ ≤ 90°, by angle:
6.291 Å, intensity 82
2.842 Å, intensity 1000
2.733 Å, intensity 726
2.109 Å, intensity 115
2.097 Å, intensity 164
2.063 Å, intensity 281
1.933 Å, intensity 407
1.664 Å, intensity 164
1.598 Å, intensity 362
1.421 Å, intensity 163
1.367 Å, intensity 119
1.222 Å, intensity 111

Cell and atoms:
```
data_Sr2MnO4
_chemical_formula_sum 'Sr4 Mn2 O8'
_symmetry_space_group_name_H-M 'I 4/m m m'
_symmetry_Int_Tables_number 139
_symmetry_space_group_name_Hall '-I 4 2'
_cell_length_a 3.865
_cell_length_b 3.865
_cell_length_c 12.582
_cell_angle_alpha 90.00
_cell_angle_beta 90.00
_cell_angle_gamma 90.00
loop_
_atom_site_label
_atom_site_type_symbol
_atom_site_fract_x
_atom_site_fract_y
_atom_site_fract_z
Sr1 Sr 0.000 0.000 0.144
Mn1 Mn 0.000 0.000 0.500
O1 O 0.000 0.000 0.344
O2 O 0.000 0.500 0.000
```

***

# Sr12Mn6O23
Theoretical powder XRD pattern, λ = 1.5418 Å (Cu Kα). Input: a DFT-relaxed cell (GGA+U, the Materials Project).
Peak positions follow from Bragg's law for the DFT cell and can differ from measured ones.

Principal peaks in the range 10° ≤ 2θ ≤ 90°, by angle:
3.152 Å, intensity 108
2.853 Å, intensity 703
2.851 Å, intensity 656
2.746 Å, intensity 1000
2.115 Å, intensity 137
2.101 Å, intensity 224
2.071 Å, intensity 352
1.942 Å, intensity 532
1.669 Å, intensity 237
1.606 Å, intensity 123
1.605 Å, intensity 370
1.426 Å, intensity 167

Cell and atoms:
```
data_Sr12Mn6O23
_chemical_formula_sum 'Sr12 Mn6 O23'
_symmetry_space_group_name_H-M 'P -1'
_symmetry_Int_Tables_number 2
_cell_length_a 8.677
_cell_length_b 8.798
_cell_length_c 8.804
_cell_angle_alpha 77.29
_cell_angle_beta 84.35
_cell_angle_gamma 60.49
loop_
_symmetry_equiv_pos_as_xyz
'x,y,z'
'-x,-y,-z'
loop_
_atom_site_label
_atom_site_type_symbol
_atom_site_fract_x
_atom_site_fract_y
_atom_site_fract_z
Sr1 Sr 0.070 0.248 0.040
Sr2 Sr 0.076 0.758 0.536
Sr3 Sr 0.260 0.916 0.800
Sr4 Sr 0.273 0.414 0.289
Sr5 Sr 0.401 0.920 0.369
Sr6 Sr 0.406 0.417 0.869
Mn1 Mn 0.168 0.831 0.167
Mn2 Mn 0.171 0.329 0.671
Mn3 Mn 0.500 0.000 0.000
Mn4 Mn 0.500 0.500 0.500
O1 O 0.000 0.000 0.000
O2 O 0.011 0.736 0.263
O3 O 0.051 0.526 0.782
O4 O 0.062 0.015 0.297
O5 O 0.257 0.167 0.526
O6 O 0.271 0.650 0.034
O7 O 0.317 0.429 0.571
O8 O 0.332 0.919 0.083
O9 O 0.333 0.166 0.834
O10 O 0.343 0.669 0.330
O11 O 0.394 0.685 0.631
O12 O 0.397 0.183 0.130
```

***

# SrMn7O12
Theoretical powder XRD pattern, λ = 1.5418 Å (Cu Kα). Input: a DFT-relaxed cell (GGA+U, the Materials Project).
Peak positions follow from Bragg's law for the DFT cell and can differ from measured ones.

Principal peaks in the range 10° ≤ 2θ ≤ 90°, by angle:
2.671 Å, intensity 1000
2.657 Å, intensity 938
2.387 Å, intensity 101
2.379 Å, intensity 71
1.884 Å, intensity 517
1.542 Å, intensity 239
1.539 Å, intensity 479
1.532 Å, intensity 238
1.336 Å, intensity 115
1.329 Å, intensity 123
1.193 Å, intensity 162
1.190 Å, intensity 150

Cell and atoms:
```
data_SrMn7O12
_chemical_formula_sum 'Sr3 Mn21 O36'
_symmetry_space_group_name_H-M 'R -3'
_symmetry_Int_Tables_number 148
_symmetry_space_group_name_Hall '-R 3'
_cell_length_a 10.6841
_cell_length_b 10.6841
_cell_length_c 6.4926
_cell_angle_alpha 90.00
_cell_angle_beta 90.00
_cell_angle_gamma 120.00
loop_
_atom_site_label
_atom_site_type_symbol
_atom_site_fract_x
_atom_site_fract_y
_atom_site_fract_z
Sr1 Sr 0.0000 0.0000 0.0000
Mn1 Mn 0.0000 0.0000 0.5000
Mn2 Mn 0.0000 0.5000 0.0000
Mn3 Mn 0.0000 0.5000 0.5000
O1 O 0.0118 0.1577 0.6714
O2 O 0.0494 0.2727 0.0817
```

***

# SrMn7O12
Theoretical powder XRD pattern, λ = 1.5418 Å (Cu Kα). Input: a DFT-relaxed cell (GGA+U, the Materials Project).
Peak positions follow from Bragg's law for the DFT cell and can differ from measured ones.

Principal peaks in the range 10° ≤ 2θ ≤ 90°, by angle:
2.681 Å, intensity 357
2.667 Å, intensity 684
2.653 Å, intensity 1000
2.371 Å, intensity 89
1.897 Å, intensity 186
1.875 Å, intensity 363
1.548 Å, intensity 171
1.539 Å, intensity 341
1.536 Å, intensity 166
1.530 Å, intensity 329
1.327 Å, intensity 127
1.187 Å, intensity 111

Cell and atoms:
```
data_SrMn7O12
_chemical_formula_sum 'Sr4 Mn28 O48'
_symmetry_space_group_name_H-M 'C 1 2/m 1'
_symmetry_Int_Tables_number 12
_cell_length_a 10.725
_cell_length_b 7.499
_cell_length_c 10.620
_cell_angle_alpha 90.00
_cell_angle_beta 90.64
_cell_angle_gamma 90.00
loop_
_symmetry_equiv_pos_as_xyz
'x,y,z'
'-x,-y,-z'
'-x,y,-z'
'x,-y,z'
'x+1/2,y+1/2,z'
'-x+1/2,-y+1/2,-z'
'-x+1/2,y+1/2,-z'
'x+1/2,-y+1/2,z'
loop_
_atom_site_label
_atom_site_type_symbol
_atom_site_fract_x
_atom_site_fract_y
_atom_site_fract_z
Sr1 Sr 0.000 0.000 0.000
Sr2 Sr 0.000 0.500 0.500
Mn1 Mn 0.000 0.000 0.500
Mn2 Mn 0.000 0.250 0.250
Mn3 Mn 0.000 0.500 0.000
Mn4 Mn 0.250 0.000 0.250
Mn5 Mn 0.250 0.000 0.750
Mn6 Mn 0.250 0.250 0.000
Mn7 Mn 0.250 0.250 0.500
O1 O 0.066 0.000 0.754
O2 O 0.067 0.500 0.253
O3 O 0.088 0.189 0.408
O4 O 0.089 0.311 0.911
O5 O 0.160 0.180 0.153
O6 O 0.160 0.320 0.653
O7 O 0.246 0.000 0.934
O8 O 0.247 0.500 0.435
```

***

# Sr13Mn8O30
Theoretical powder XRD pattern, λ = 1.5418 Å (Cu Kα). Input: a DFT-relaxed cell (GGA+U, the Materials Project).
Peak positions follow from Bragg's law for the DFT cell and can differ from measured ones.

Principal peaks in the range 10° ≤ 2θ ≤ 90°, by angle:
6.647 Å, intensity 599
3.845 Å, intensity 575
3.682 Å, intensity 707
3.388 Å, intensity 598
3.218 Å, intensity 596
3.204 Å, intensity 654
3.175 Å, intensity 1000
3.022 Å, intensity 579
2.875 Å, intensity 605
2.709 Å, intensity 657
2.532 Å, intensity 581
2.265 Å, intensity 741

Cell and atoms:
```
data_Sr13Mn8O30
_chemical_formula_sum 'Sr13 Mn8 O30'
_symmetry_space_group_name_H-M 'P 1'
_symmetry_Int_Tables_number 1
_cell_length_a 8.582
_cell_length_b 9.365
_cell_length_c 10.288
_cell_angle_alpha 89.16
_cell_angle_beta 86.14
_cell_angle_gamma 83.81
loop_
_symmetry_equiv_pos_as_xyz
'x,y,z'
loop_
_atom_site_label
_atom_site_type_symbol
_atom_site_fract_x
_atom_site_fract_y
_atom_site_fract_z
Sr1 Sr 0.000 0.000 0.000
Sr2 Sr 0.004 0.419 0.467
Sr3 Sr 0.083 0.091 0.642
Sr4 Sr 0.257 0.357 0.823
Sr5 Sr 0.375 0.004 0.273
Sr6 Sr 0.555 0.567 0.462
Sr7 Sr 0.669 0.819 0.942
Sr8 Sr 0.693 0.469 0.113
Sr9 Sr 0.744 0.332 0.776
Sr10 Sr 0.752 0.181 0.324
Sr11 Sr 0.765 0.902 0.611
Sr12 Sr 0.881 0.734 0.274
Sr13 Sr 0.985 0.639 0.758
Mn1 Mn 0.109 0.627 0.048
Mn2 Mn 0.132 0.771 0.489
Mn3 Mn 0.282 0.671 0.248
Mn4 Mn 0.354 0.704 0.730
Mn5 Mn 0.359 0.349 0.319
Mn6 Mn 0.403 0.045 0.814
Mn7 Mn 0.550 0.170 0.577
Mn8 Mn 0.595 0.166 0.038
O1 O 0.011 0.364 0.712
O2 O 0.018 0.939 0.447
O3 O 0.131 0.540 0.220
O4 O 0.158 0.810 0.148
O5 O 0.182 0.818 0.653
O6 O 0.199 0.100 0.871
O7 O 0.211 0.230 0.364
O8 O 0.220 0.623 0.888
O9 O 0.245 0.560 0.508
O10 O 0.280 0.537 0.644
O11 O 0.332 0.785 0.389
O12 O 0.348 0.156 0.657
O13 O 0.448 0.525 0.254
O14 O 0.468 0.027 0.989
O15 O 0.471 0.855 0.770
O16 O 0.501 0.318 0.456
O17 O 0.508 0.223 0.203
O18 O 0.523 0.324 0.947
O19 O 0.556 0.570 0.712
O20 O 0.578 0.025 0.459
O21 O 0.603 0.098 0.744
O22 O 0.633 0.837 0.188
O23 O 0.702 0.620 0.753
O24 O 0.731 0.956 0.147
O25 O 0.771 0.207 0.561
O26 O 0.787 0.483 0.325
O27 O 0.799 0.219 0.053
O28 O 0.891 0.908 0.814
O29 O 0.896 0.628 0.017
O30 O 0.942 0.685 0.511
```

***

Which formula does entry 4 have? SrMn7O12